Ac4Ge2I5: simulated PXRD pattern (Cu Kα (λ = 1.5418 Å)), based on a crystal structure in Alexandria, relaxed with PBE.

Main lines, by angle (10° ≤ 2θ ≤ 90°):
23.4°, d 3.794, I = 100
26.5°, d 3.362, I = 79
27.0°, d 3.297, I = 72
31.8°, d 2.810, I = 21
35.4°, d 2.533, I = 31
35.5°, d 2.528, I = 32
36.7°, d 2.448, I = 20
37.4°, d 2.407, I = 21
38.2°, d 2.355, I = 33
38.2°, d 2.353, I = 24

Cell and atoms:
a = 5.050 Å, b = 10.190 Å, c = 10.453 Å
α = 100.97°, β = 103.67°, γ = 96.98°
Element x y z (fractional)
Ac  0.094  0.262  0.001
Ac  0.392  0.418  0.708
Ac  0.608  0.582  0.292
Ac  0.906  0.738  0.999
Ge  0.329  0.570  0.979
Ge  0.671  0.430  0.021
I  0.134  0.354  0.352
I  0.173  0.816  0.338
I  0.500  0.000  0.000
I  0.827  0.184  0.662
I  0.866  0.646  0.648